1.
This entry pairs a crystal structure of Re2Au2O5 with its theoretical XRD peak list. Radiation: Cu Kα X-rays. Structure: the GGA-PBE geometry in OQMD.
Peak positions follow from Bragg's law for the DFT cell and can differ from measured ones.

```
Re2Au2O5
1.0
3.816 0.000 0.000
0.000 3.816 0.000
0.000 0.000 7.966
Re Au O
2 2 5
Direct
0.000 0.000 0.235
0.000 0.000 0.765
0.500 0.500 0.000
0.500 0.500 0.500
0.000 0.000 0.500
0.000 0.500 0.235
0.000 0.500 0.765
0.500 0.000 0.235
0.500 0.000 0.765
```

Peak list (10 most intense, 2θ from 10° to 90°, sorted by position)
2theta	Rel. int.
32.49	100
33.20	44
45.55	12
47.66	22
57.52	18
58.87	38
68.05	14
75.88	8
79.02	8
79.41	8

2.
This entry pairs a crystal structure of TlCu3Te4W with its theoretical XRD peak list. Radiation: Cu Kα X-rays. Structure: the GGA-PBE geometry in OQMD.
Peak positions follow from Bragg's law for the DFT cell and can differ from measured ones.

```
TlCu3Te4W
1.0
6.484 0.000 0.000
0.000 6.484 0.000
0.000 0.000 6.484
Tl Cu Te W
1 3 4 1
Direct
0.000 0.000 0.000
0.000 0.500 0.500
0.500 0.000 0.500
0.500 0.500 0.000
0.269 0.269 0.269
0.269 0.731 0.731
0.731 0.269 0.731
0.731 0.731 0.269
0.500 0.500 0.500
```

Peak list (10 most intense, 2θ from 10° to 90°, sorted by position)
2theta	Rel. int.
19.36	54
23.77	64
33.87	29
39.30	100
44.17	11
46.45	29
52.83	19
56.80	16
60.59	12
71.25	30

3.
This entry pairs a crystal structure of La3MgPt8 with its theoretical XRD peak list. Radiation: Cu Kα X-rays. Structure: the GGA-PBE geometry in OQMD.
Peak positions follow from Bragg's law for the DFT cell and can differ from measured ones.

```
La3MgPt8
1.0
2.745 1.585 8.969
-2.745 1.585 8.969
0.000 -3.170 8.969
La Mg Pt
3 1 8
Direct
0.000 0.000 0.000
0.128 0.128 0.128
0.511 0.511 0.511
0.636 0.636 0.636
0.065 0.567 0.567
0.068 0.068 0.566
0.068 0.566 0.068
0.316 0.316 0.316
0.566 0.068 0.068
0.567 0.065 0.567
0.567 0.567 0.065
0.817 0.817 0.817
```

Peak list (10 most intense, 2θ from 10° to 90°, sorted by position)
2theta	Rel. int.
19.80	33
32.61	13
38.44	100
40.23	61
46.79	16
51.28	9
62.10	33
68.32	31
81.23	11
82.37	24

4.
This entry pairs a crystal structure of CsTaPbS5 with its theoretical XRD peak list. Radiation: Cu Kα X-rays. Structure: the GGA-PBE geometry in OQMD.
Peak positions follow from Bragg's law for the DFT cell and can differ from measured ones.

```
CsTaPbS5
1.0
7.178 0.000 0.000
2.005 7.568 0.000
2.093 2.888 9.134
Cs Ta Pb S
2 2 2 10
Direct
0.107 0.359 0.287
0.893 0.641 0.713
0.258 0.969 0.997
0.742 0.031 0.003
0.480 0.713 0.361
0.520 0.287 0.639
0.059 0.787 0.975
0.166 0.898 0.269
0.267 0.091 0.729
0.420 0.623 0.646
0.433 0.226 0.986
0.567 0.774 0.014
0.580 0.377 0.354
0.733 0.909 0.271
0.834 0.102 0.731
0.941 0.213 0.025
```

Peak list (10 most intense, 2θ from 10° to 90°, sorted by position)
2theta	Rel. int.
13.14	100
20.47	30
20.97	36
23.62	35
25.48	20
26.05	27
26.41	66
29.34	48
38.72	26
39.68	26

5.
This entry pairs a crystal structure of U2Co3Ge with its theoretical XRD peak list. Radiation: Cu Kα X-rays. Structure: the GGA-PBE geometry in OQMD.
Peak positions follow from Bragg's law for the DFT cell and can differ from measured ones.

```
U2Co3Ge
1.0
5.169 0.000 0.000
-2.584 4.476 0.000
0.000 0.000 7.598
U Co Ge
4 6 2
Direct
0.333 0.667 0.070
0.333 0.667 0.430
0.667 0.333 0.570
0.667 0.333 0.930
0.170 0.340 0.750
0.170 0.830 0.750
0.340 0.170 0.250
0.660 0.830 0.750
0.830 0.170 0.250
0.830 0.660 0.250
0.000 0.000 0.000
0.000 0.000 0.500
```

Peak list (10 most intense, 2θ from 10° to 90°, sorted by position)
2theta	Rel. int.
19.83	24
23.06	27
34.71	89
40.94	100
42.09	52
42.30	85
66.46	48
67.43	22
73.25	24
87.51	25

6.
This entry pairs a crystal structure of Zr3NiAs4Pd3 with its theoretical XRD peak list. Radiation: Cu Kα X-rays. Structure: the GGA-PBE geometry in OQMD.
Peak positions follow from Bragg's law for the DFT cell and can differ from measured ones.

```
Zr3NiAs4Pd3
1.0
6.627 0.000 0.000
0.000 3.929 0.000
-0.014 0.000 7.671
Zr Ni As Pd
3 1 4 3
Direct
0.000 0.000 0.000
0.073 0.500 0.624
0.569 0.500 0.493
0.902 0.000 0.369
0.287 0.000 0.429
0.290 0.500 0.941
0.773 0.500 0.199
0.788 0.000 0.673
0.163 0.500 0.251
0.388 0.000 0.756
0.685 0.500 0.879
```

Peak list (10 most intense, 2θ from 10° to 90°, sorted by position)
2theta	Rel. int.
17.68	23
35.42	100
37.39	70
37.70	20
42.16	49
42.60	17
44.42	30
46.21	39
47.44	16
48.76	15

7.
This entry pairs a crystal structure of Ho3FeCo6Ni2 with its theoretical XRD peak list. Radiation: Cu Kα X-rays. Structure: the GGA-PBE geometry in OQMD.
Peak positions follow from Bragg's law for the DFT cell and can differ from measured ones.

```
Ho3FeCo6Ni2
1.0
2.478 1.430 8.041
-2.478 1.430 8.041
0.000 -2.861 8.041
Ho Fe Co Ni
3 1 6 2
Direct
0.000 0.000 0.000
0.139 0.139 0.139
0.861 0.861 0.861
0.500 0.500 0.500
0.080 0.583 0.583
0.417 0.417 0.920
0.417 0.920 0.417
0.583 0.080 0.583
0.583 0.583 0.080
0.920 0.417 0.417
0.334 0.334 0.334
0.666 0.666 0.666
```

Peak list (10 most intense, 2θ from 10° to 90°, sorted by position)
2theta	Rel. int.
21.03	13
33.35	52
36.26	55
36.42	40
42.29	38
42.87	100
63.38	16
65.33	14
69.76	34
76.97	20

8.
This entry pairs a crystal structure of Sr2Mo3Pt2 with its theoretical XRD peak list. Radiation: Cu Kα X-rays. Structure: the GGA-PBE geometry in OQMD.
Peak positions follow from Bragg's law for the DFT cell and can differ from measured ones.

```
Sr2Mo3Pt2
1.0
2.178 1.257 9.684
-2.178 1.257 9.684
0.000 -2.515 9.684
Sr Mo Pt
2 3 2
Direct
0.000 0.000 0.000
0.443 0.443 0.443
0.262 0.262 0.262
0.571 0.571 0.571
0.873 0.873 0.873
0.175 0.175 0.175
0.718 0.718 0.718
```

Peak list (10 most intense, 2θ from 10° to 90°, sorted by position)
2theta	Rel. int.
18.32	20
24.38	22
26.63	36
32.06	100
41.46	84
41.75	32
47.28	21
53.35	23
69.74	21
75.63	14

9.
This entry pairs a crystal structure of PrH8C6O10 with its theoretical XRD peak list. Radiation: Cu Kα X-rays. Structure: the GGA-PBE geometry in OQMD.
Peak positions follow from Bragg's law for the DFT cell and can differ from measured ones.

```
PrH8C6O10
1.0
8.118 0.000 0.000
-2.914 7.879 0.000
-3.821 -2.380 7.748
Pr H C O
2 16 12 20
Direct
0.087 0.025 0.278
0.913 0.975 0.722
0.047 0.667 0.698
0.101 0.791 0.582
0.157 0.716 0.401
0.205 0.310 0.115
0.232 0.449 0.521
0.359 0.884 0.556
0.368 0.580 0.467
0.412 0.367 0.295
0.588 0.633 0.705
0.632 0.420 0.533
0.641 0.116 0.444
0.768 0.551 0.479
0.795 0.690 0.885
0.843 0.284 0.599
0.899 0.209 0.418
0.953 0.333 0.302
0.129 0.444 0.877
0.316 0.579 0.017
0.334 0.998 0.117
0.360 0.218 0.682
0.457 0.001 0.041
0.468 0.675 0.152
0.532 0.325 0.848
0.543 0.999 0.959
0.640 0.782 0.318
0.666 0.002 0.883
0.684 0.421 0.983
0.871 0.556 0.123
0.013 0.753 0.636
0.026 0.480 0.746
0.082 0.290 0.901
0.154 0.973 0.017
0.190 0.131 0.668
0.213 0.843 0.469
0.260 0.312 0.238
0.346 0.568 0.566
0.395 0.222 0.556
0.403 0.021 0.278
0.597 0.979 0.722
0.605 0.778 0.444
0.654 0.432 0.434
0.740 0.688 0.762
0.787 0.157 0.531
0.810 0.869 0.332
0.846 0.027 0.983
0.918 0.710 0.099
0.974 0.520 0.254
0.987 0.247 0.364
```

Peak list (10 most intense, 2θ from 10° to 90°, sorted by position)
2theta	Rel. int.
11.75	98
13.42	100
20.03	17
21.52	24
22.19	21
22.52	19
23.62	19
25.32	26
28.79	17
37.90	17

10.
This entry pairs a crystal structure of Hf2FeSb2Pt with its theoretical XRD peak list. Radiation: Cu Kα X-rays. Structure: the GGA-PBE geometry in OQMD.
Peak positions follow from Bragg's law for the DFT cell and can differ from measured ones.

```
Hf2FeSb2Pt
1.0
-3.125 3.125 6.180
3.125 -3.125 6.180
3.125 3.125 -6.180
Hf Fe Sb Pt
4 2 4 2
Direct
0.116 0.125 0.491
0.375 0.884 0.009
0.634 0.625 0.509
0.875 0.366 0.991
0.000 0.000 0.000
0.750 0.250 0.500
0.104 0.625 0.979
0.375 0.354 0.479
0.646 0.125 0.021
0.875 0.896 0.521
0.250 0.750 0.500
0.500 0.500 0.000
```

Peak list (10 most intense, 2θ from 10° to 90°, sorted by position)
2theta	Rel. int.
24.77	40
28.56	21
28.89	11
40.83	50
41.08	100
48.34	14
59.12	16
74.51	33
75.01	17
89.12	11

11.
This entry pairs a crystal structure of Sc with its theoretical XRD peak list. Radiation: Cu Kα X-rays. Structure: the GGA-PBE geometry in OQMD.
Peak positions follow from Bragg's law for the DFT cell and can differ from measured ones.

```
Sc
1.0
-2.948 4.172 6.588
2.948 -4.172 6.588
2.948 4.172 -6.588
Sc
14
Direct
0.013 0.463 0.782
0.078 0.219 0.296
0.181 0.963 0.450
0.250 0.250 0.000
0.319 0.770 0.782
0.422 0.719 0.141
0.487 0.270 0.450
0.513 0.730 0.550
0.578 0.281 0.859
0.681 0.230 0.218
0.750 0.750 0.000
0.819 0.037 0.550
0.922 0.781 0.704
0.987 0.537 0.218
```

Peak list (10 most intense, 2θ from 10° to 90°, sorted by position)
2theta	Rel. int.
32.94	61
33.29	100
34.70	30
35.70	34
38.32	43
41.10	16
46.71	20
51.90	18
69.06	22
69.93	12

12.
This entry pairs a crystal structure of TbSi4Ir2 with its theoretical XRD peak list. Radiation: Cu Kα X-rays. Structure: the GGA-PBE geometry in OQMD.
Peak positions follow from Bragg's law for the DFT cell and can differ from measured ones.

```
TbSi4Ir2
1.0
3.404 -1.965 0.000
3.404 1.965 0.000
-0.014 0.000 10.632
Tb Si Ir
1 4 2
Direct
0.000 0.000 0.000
0.000 0.000 0.320
0.001 0.001 0.738
0.667 0.667 0.170
0.667 0.667 0.617
0.334 0.334 0.741
0.667 0.667 0.394
```

Peak list (10 most intense, 2θ from 10° to 90°, sorted by position)
2theta	Rel. int.
25.13	31
27.52	100
31.21	46
36.61	15
43.19	35
46.20	37
53.31	24
54.62	15
74.27	12
83.49	11

Please write out number 8 again, unchanged.
This entry pairs a crystal structure of Sr2Mo3Pt2 with its theoretical XRD peak list. Radiation: Cu Kα X-rays. Structure: the GGA-PBE geometry in OQMD.
Peak positions follow from Bragg's law for the DFT cell and can differ from measured ones.

```
Sr2Mo3Pt2
1.0
2.178 1.257 9.684
-2.178 1.257 9.684
0.000 -2.515 9.684
Sr Mo Pt
2 3 2
Direct
0.000 0.000 0.000
0.443 0.443 0.443
0.262 0.262 0.262
0.571 0.571 0.571
0.873 0.873 0.873
0.175 0.175 0.175
0.718 0.718 0.718
```

Peak list (10 most intense, 2θ from 10° to 90°, sorted by position)
2theta	Rel. int.
18.32	20
24.38	22
26.63	36
32.06	100
41.46	84
41.75	32
47.28	21
53.35	23
69.74	21
75.63	14